For TmHfTlC, a cell relaxed with GGA-PBE gives the simulated X-ray powder pattern in this record (a wavelength of 1.5418 Å).
No peak broadening, texture or thermal motion is included.

Structure:
abc: 3.4291 3.4291 15.4693
angles: 90.00 90.00 120.00
Positions (direct):
Tm 0.3333 0.6667 0.0000
Tm 0.6667 0.3333 0.5000
Hf 0.3333 0.6667 0.6654
Hf 0.6667 0.3333 0.1654
Tl 0.3333 0.6667 0.3302
Tl 0.6667 0.3333 0.8302
C 0.0000 0.0000 0.0944
C 0.0000 0.0000 0.5944

Largest 8 diffraction maxima, in order of rising 2θ, 2θ from 15° to 90°:
hkl	2theta	I/Imax
1 0 0	30.09	18.5
0 0 6	34.85	100.0
1 0 6	46.65	13.0
1 1 0	53.44	17.0
1 0 9	62.43	15.5
1 1 6	65.38	31.1
2 0 9	86.64	6.5
2 1 3	89.32	12.3

For TmHfTlC, a cell relaxed with GGA-PBE gives the simulated X-ray powder pattern in this record (a wavelength of 1.5418 Å).
No peak broadening, texture or thermal motion is included.

Structure:
abc: 3.4297 3.4297 15.4460
angles: 90.00 90.00 120.00
Positions (direct):
Tm 0.0000 0.0000 0.1721
Tm 0.0000 0.0000 0.8279
Hf 0.6667 0.3333 0.3378
Hf 0.6667 0.3333 0.6622
Tl 0.0000 0.0000 0.5000
Tl 0.6667 0.3333 0.0000
C 0.3333 0.6667 0.2662
C 0.3333 0.6667 0.7338

Largest 8 diffraction maxima, in order of rising 2θ, 2θ from 15° to 90°:
hkl	2theta	I/Imax
1 0 0	30.09	18.7
0 0 6	34.87	100.0
1 0 6	46.69	12.7
1 1 0	53.43	17.2
1 0 9	62.51	17.3
1 1 6	65.40	30.9
2 0 9	86.71	8.3
2 1 3	89.31	12.3

For HfZrTlC, a cell relaxed with GGA-PBE gives the simulated X-ray powder pattern in this record (a wavelength of 1.5418 Å).
No peak broadening, texture or thermal motion is included.

Structure:
abc: 3.3638 3.3638 15.0153
angles: 90.00 90.00 120.00
Positions (direct):
Hf 0.3333 0.6667 0.0000
Hf 0.6667 0.3333 0.5000
Zr 0.3333 0.6667 0.3374
Zr 0.6667 0.3333 0.8374
Tl 0.3333 0.6667 0.6683
Tl 0.6667 0.3333 0.1683
C 0.0000 0.0000 0.4219
C 0.0000 0.0000 0.9219

Largest 8 diffraction maxima, in order of rising 2θ, 2θ from 15° to 90°:
hkl	2theta	I/Imax
1 0 0	30.69	22.5
1 0 3	35.66	100.0
0 0 6	35.88	20.8
1 0 6	47.92	15.6
1 1 0	54.56	20.6
1 0 9	64.34	18.9
2 0 3	66.90	16.1
1 1 6	67.05	20.6